For BeReBi, a PBE-relaxed structure gives the computed X-ray diffraction stick pattern in this record (a wavelength of 1.5418 Å).
Kinematic intensities with the Lorentz-polarization factor, no thermal factor.

Principal peaks in the range 5° ≤ 2θ ≤ 70°, by intensity:
2θ (°)	I_rel
30.15	100
43.16	82
53.55	28
62.69	14
26.03	1

```
3
Lattice="0.0000 2.9642 2.9642 2.9642 0.0000 2.9642 2.9642 2.9642 0.0000" Properties=species:S:1:pos:R:3 pbc="T T T"
Be 0.0000 0.0000 0.0000
Re 1.4821 1.4821 1.4821
Bi 4.4463 4.4463 4.4463
```

For La3GaAu4, a PBE-relaxed structure gives the computed X-ray diffraction stick pattern in this record (a wavelength of 1.5418 Å).
Kinematic intensities with the Lorentz-polarization factor, no thermal factor.

Principal peaks in the range 5° ≤ 2θ ≤ 70°, by intensity:
2θ (°)	I_rel
34.44	100
34.12	94
30.51	92
38.12	88
37.74	85
38.41	70
65.98	34
19.54	32
32.96	29
24.15	26

```
8
Lattice="5.8073 0.0000 0.0000 0.0000 4.7678 0.0000 -0.1078 0.0000 7.4274" Properties=species:S:1:pos:R:3 pbc="T T T"
La 0.0000 0.0000 0.0000
La 1.1932 0.0000 3.6248
La 4.0107 2.3839 4.5979
Ga 2.8125 2.3839 0.9699
Au 0.0775 2.3839 1.9509
Au 1.0519 2.3839 5.7870
Au 2.8489 0.0000 6.4014
Au 3.9867 0.0000 2.4647
```

For ErCo4Sn4Ge2, a PBE-relaxed structure gives the computed X-ray diffraction stick pattern in this record (a wavelength of 1.5418 Å).
Kinematic intensities with the Lorentz-polarization factor, no thermal factor.

Principal peaks in the range 5° ≤ 2θ ≤ 70°, by intensity:
2θ (°)	I_rel
32.77	100
33.78	71
42.52	61
42.78	52
43.63	42
40.00	37
31.35	34
56.05	25
67.29	24
61.72	20

```
11
Lattice="-3.1878 3.1878 4.7859 3.1878 -3.1878 4.7859 3.1878 3.1878 -4.7859" Properties=species:S:1:pos:R:3 pbc="T T T"
Er 0.0000 0.0000 0.0000
Co 1.1557 -1.1557 4.1404
Co 2.0321 2.0321 0.6455
Co -1.1557 1.1557 4.1404
Co 1.1557 1.1557 5.4314
Sn 2.0646 2.0646 -1.9871
Sn 1.1232 1.1232 2.7989
Sn 1.1232 -1.1232 6.7730
Sn -1.1232 1.1232 6.7730
Ge 3.1878 0.0000 0.0000
Ge 0.0000 3.1878 0.0000
```

For LaHo, a PBE-relaxed structure gives the computed X-ray diffraction stick pattern in this record (a wavelength of 1.5418 Å).
Kinematic intensities with the Lorentz-polarization factor, no thermal factor.

Principal peaks in the range 5° ≤ 2θ ≤ 70°, by intensity:
2θ (°)	I_rel
27.03	100
38.60	78
63.02	37
47.76	28
69.85	27
55.74	13
23.36	1
45.61	1

```
2
Lattice="0.0000 3.2985 3.2985 3.2985 0.0000 3.2985 3.2985 3.2985 0.0000" Properties=species:S:1:pos:R:3 pbc="T T T"
La 0.0000 0.0000 0.0000
Ho 3.2985 3.2985 3.2985
```

For Cs2ScAgCl6, a PBE-relaxed structure gives the computed X-ray diffraction stick pattern in this record (a wavelength of 1.5418 Å).
Kinematic intensities with the Lorentz-polarization factor, no thermal factor.

Principal peaks in the range 5° ≤ 2θ ≤ 70°, by intensity:
2θ (°)	I_rel
23.91	100
34.07	66
42.03	34
29.40	33
49.01	22
48.89	21
55.19	21
66.43	18
42.14	11
60.94	10

```
10
Lattice="3.7256 2.1510 6.0629 -3.7256 2.1510 6.0629 0.0000 -4.3019 6.0629" Properties=species:S:1:pos:R:3 pbc="T T T"
Cs 0.0000 0.0000 4.5540
Cs 0.0000 0.0000 13.6347
Sc 0.0000 0.0000 9.0943
Ag 0.0000 0.0000 0.0000
Cl -0.1204 -2.0437 7.6544
Cl -1.8301 -0.9175 10.5343
Cl -1.7096 1.1261 7.6544
Cl 1.7096 -1.1261 10.5343
Cl 1.8301 0.9175 7.6544
Cl 0.1204 2.0437 10.5343
```

For PtF4, a PBE-relaxed structure gives the computed X-ray diffraction stick pattern in this record (a wavelength of 1.5418 Å).
Kinematic intensities with the Lorentz-polarization factor, no thermal factor.

Principal peaks in the range 5° ≤ 2θ ≤ 70°, by intensity:
2θ (°)	I_rel
20.09	100
27.35	98
27.01	98
40.19	40
42.84	37
39.47	26
34.40	25
39.68	25
56.43	20
51.75	18

```
10
Lattice="5.0746 0.0000 0.0000 0.0000 4.8044 0.0000 -2.5616 0.0000 4.5429" Properties=species:S:1:pos:R:3 pbc="T T T"
Pt 0.0000 0.0000 0.0000
Pt -1.2808 2.4022 2.2715
F -0.2371 0.7628 1.8181
F -1.5179 1.6394 4.0896
F 0.3639 3.3224 2.6784
F 1.6447 3.8842 0.4069
F 0.8683 0.9202 4.1360
F 2.1491 1.4820 1.8646
F 4.0309 3.1650 0.4534
F 2.7501 4.0416 2.7248
```

Which formula does entry 4 have? LaHo